(1)
This entry pairs a crystal structure of Sc6Ga16Rh7 with its theoretical X-ray diffraction stick pattern. Radiation: Cu Kα, 1.54184 Å. Structure: a DFT-relaxed cell (GGA-PBE, the Materials Project).
Peak positions follow from Bragg's law for the DFT cell and can differ from measured ones.

a b c (Å): 8.827 8.827 8.827
angles (deg): 60.00 60.00 60.00
Fractional coordinates of all 29 atoms:
Sc (0.209, 0.209, 0.791)
Sc (0.209, 0.791, 0.209)
Sc (0.209, 0.791, 0.791)
Sc (0.791, 0.209, 0.209)
Sc (0.791, 0.209, 0.791)
Sc (0.791, 0.791, 0.209)
Ga (0.136, 0.621, 0.621)
Ga (0.160, 0.160, 0.160)
Ga (0.160, 0.160, 0.519)
Ga (0.160, 0.519, 0.160)
Ga (0.379, 0.379, 0.379)
Ga (0.379, 0.379, 0.864)
Ga (0.379, 0.864, 0.379)
Ga (0.481, 0.840, 0.840)
Ga (0.519, 0.160, 0.160)
Ga (0.621, 0.136, 0.621)
Ga (0.621, 0.621, 0.136)
Ga (0.621, 0.621, 0.621)
Ga (0.840, 0.481, 0.840)
Ga (0.840, 0.840, 0.481)
Ga (0.840, 0.840, 0.840)
Ga (0.864, 0.379, 0.379)
Rh (0.000, 0.000, 0.500)
Rh (0.000, 0.500, 0.000)
Rh (0.000, 0.500, 0.500)
Rh (0.500, 0.000, 0.000)
Rh (0.500, 0.000, 0.500)
Rh (0.500, 0.500, 0.000)
Rh (0.500, 0.500, 0.500)

The 10 most intense peaks (15° ≤ 2θ ≤ 90°), in order of rising 2θ:
d (Å)  Rel. int.
3.604  18
2.548  8
2.402  23
2.207  100
2.110  17
1.882  19
1.560  10
1.370  9
1.274  19
1.255  9

=====

(2)
This entry pairs a crystal structure of Sm2Ga9Rh3 with its theoretical X-ray diffraction stick pattern. Radiation: Cu Kα, 1.54184 Å. Structure: a DFT-relaxed cell (GGA-PBE, the Materials Project).
Peak positions follow from Bragg's law for the DFT cell and can differ from measured ones.

a b c (Å): 7.602 7.602 9.619
angles (deg): 90.00 90.00 60.59
Fractional coordinates of all 28 atoms:
Sm (0.003, 0.668, 0.750)
Sm (0.332, 0.997, 0.750)
Sm (0.668, 0.003, 0.250)
Sm (0.997, 0.332, 0.250)
Ga (0.002, 0.665, 0.077)
Ga (0.002, 0.665, 0.423)
Ga (0.126, 0.874, 0.250)
Ga (0.334, 0.666, 0.560)
Ga (0.334, 0.666, 0.940)
Ga (0.335, 0.998, 0.077)
Ga (0.335, 0.998, 0.423)
Ga (0.337, 0.454, 0.250)
Ga (0.454, 0.337, 0.750)
Ga (0.546, 0.663, 0.250)
Ga (0.663, 0.546, 0.750)
Ga (0.665, 0.002, 0.577)
Ga (0.665, 0.002, 0.923)
Ga (0.666, 0.334, 0.060)
Ga (0.666, 0.334, 0.440)
Ga (0.874, 0.126, 0.750)
Ga (0.998, 0.335, 0.577)
Ga (0.998, 0.335, 0.923)
Rh (0.000, 0.000, 0.000)
Rh (0.000, 0.000, 0.500)
Rh (0.329, 0.329, 0.000)
Rh (0.329, 0.329, 0.500)
Rh (0.671, 0.671, 0.000)
Rh (0.671, 0.671, 0.500)

The 10 most intense peaks (15° ≤ 2θ ≤ 90°), in order of rising 2θ:
d (Å)  Rel. int.
2.982  19
2.460  47
2.451  97
2.414  18
2.405  31
2.207  100
2.188  42
1.478  20
1.315  16
1.225  17